For Tm2ZrSb3, a crystal structure in Alexandria, relaxed with PBE gives the simulated powder XRD pattern in this record (Cu Kα (λ = 1.5418 Å)).
No peak broadening, texture or thermal motion is included.

Structure:
Cell lengths 4.262, 4.262, 18.083 Å; angles 90.00, 90.00, 90.00 degrees
Space group I4/mmm (No. 139)
Unique sites:
Tm1 0.000 0.000 0.167 [4 per cell]
Zr1 0.000 0.000 0.500 [2 per cell]
Sb1 0.000 0.000 0.000 [2 per cell]
Sb2 0.000 0.000 0.336 [4 per cell]

Top 10 peaks for 2θ = 10–90°, by intensity:
- 29.64 deg, I 100, hkl 1 1 0
- 42.41 deg, I 75, hkl 2 0 0
- 69.77 deg, I 34, hkl 3 1 0
- 52.60 deg, I 27, hkl 2 0 6
- 77.59 deg, I 25, hkl 3 1 6
- 61.54 deg, I 12, hkl 2 2 0
- 21.42 deg, I 2, hkl 1 0 1
- 32.47 deg, I 2, hkl 1 0 5
- 25.60 deg, I 1, hkl 1 0 3
- 19.64 deg, I 1, hkl 0 0 4